# 1
Cu7Ag3: simulated PXRD pattern (a wavelength of 1.5418 Å), based on a cell relaxed with GGA-PBE.
Lines closer than 0.1° are merged.

Top 10 peaks for 2θ from 10° to 90°, most intense first:
Position (°2θ)	I (rel.)	index
41.11	100	1 1 -3
47.20	45	3 1 1
41.26	33	4 0 -2
49.22	18	2 0 -6
83.54	15	4 2 -2
70.47	11	1 1 7
70.67	11	5 1 -5
89.20	9	2 2 -6
86.54	8	3 1 -9
83.75	8	7 1 -1

Crystal structure
```
data_Cu7Ag3
_symmetry_space_group_name_H-M 'C 1 m 1'
_symmetry_Int_Tables_number 8
_cell_length_a 8.9470
_cell_length_b 2.7276
_cell_length_c 11.4444
_cell_angle_alpha 90.00
_cell_angle_beta 100.50
_cell_angle_gamma 90.00
loop_
_symmetry_equiv_pos_as_xyz
'x,y,z'
'x,-y,z'
'x+1/2,y+1/2,z'
'x+1/2,-y+1/2,z'
loop_
_atom_site_label
_atom_site_fract_x
_atom_site_fract_y
_atom_site_fract_z
Cu1 0.0000 0.0000 0.0000
Cu2 0.0001 0.5000 0.4827
Cu3 0.1063 0.5000 0.1824
Cu4 0.3120 0.0000 0.1042
Cu5 0.3188 0.5000 0.5914
Cu6 0.4094 0.0000 0.7950
Cu7 0.4146 0.5000 0.2848
Ag1 0.1102 0.0000 0.6829
Ag2 0.2071 0.5000 0.9035
Ag3 0.2082 0.0000 0.3872
```

# 2
Li2Mg2Cd2HgAu: simulated PXRD pattern (a wavelength of 1.5418 Å), based on a cell relaxed with GGA-PBE.
Lines closer than 0.1° are merged.

Top 10 peaks for 2θ from 10° to 90°, most intense first:
Position (°2θ)	I (rel.)	index
23.13	100	1 0 1
38.15	73	1 1 2
38.35	36	2 0 0
45.26	35	2 1 1
69.21	25	3 1 2
44.91	18	1 0 3
60.50	15	2 1 3
68.82	12	2 0 4
55.35	12	2 2 0
74.19	8	3 2 1

Crystal structure
```
data_Li2Mg2Cd2HgAu
_symmetry_space_group_name_H-M 'P -4 m 2'
_symmetry_Int_Tables_number 115
_cell_length_a 4.6947
_cell_length_b 4.6947
_cell_length_c 6.7058
_cell_angle_alpha 90.00
_cell_angle_beta 90.00
_cell_angle_gamma 90.00
loop_
_symmetry_equiv_pos_as_xyz
'x,y,z'
'y,-x,-z'
'-x,-y,z'
'-y,x,-z'
'-x,y,z'
'-y,-x,-z'
'x,-y,z'
'y,x,-z'
loop_
_atom_site_label
_atom_site_fract_x
_atom_site_fract_y
_atom_site_fract_z
Li1 0.0000 0.0000 0.0000
Li2 0.5000 0.5000 0.5000
Mg1 0.0000 0.5000 0.7348
Cd1 0.0000 0.5000 0.2584
Hg1 0.5000 0.5000 0.0000
Au1 0.0000 0.0000 0.5000
```

# 3
Sr2Zr2Sb2OF2: simulated PXRD pattern (a wavelength of 1.5418 Å), based on a cell relaxed with GGA-PBE.
Lines closer than 0.1° are merged.

Top 10 peaks for 2θ from 10° to 90°, most intense first:
Position (°2θ)	I (rel.)	index
30.20	100	1 0 5
34.15	74	1 1 4
41.56	51	2 0 0
52.23	42	2 1 5
30.40	20	1 1 2
62.80	18	2 0 10
60.23	16	2 2 0
71.09	16	3 1 4
20.91	16	1 0 1
45.48	15	1 0 9

Crystal structure
```
data_Sr2Zr2Sb2OF2
_symmetry_space_group_name_H-M 'I 4/m m m'
_symmetry_Int_Tables_number 139
_symmetry_space_group_name_Hall '-I 4 2'
_cell_length_a 4.3461
_cell_length_b 4.3461
_cell_length_c 20.2043
_cell_angle_alpha 90.00
_cell_angle_beta 90.00
_cell_angle_gamma 90.00
loop_
_atom_site_label
_atom_site_fract_x
_atom_site_fract_y
_atom_site_fract_z
Sr1 0.0000 0.0000 0.1864
Zr1 0.0000 0.5000 0.0000
Sb1 0.0000 0.0000 0.3961
O1 0.0000 0.0000 0.0000
F1 0.0000 0.5000 0.2500
```

# 4
NbHg3Se4: simulated PXRD pattern (a wavelength of 1.5418 Å), based on a cell relaxed with GGA-PBE.
Lines closer than 0.1° are merged.

Top 10 peaks for 2θ from 10° to 90°, most intense first:
Position (°2θ)	I (rel.)	index
33.73	100	2 2 0
23.67	36	2 0 0
54.60	33	4 2 0
60.33	27	4 2 2
29.10	22	2 1 1
75.96	20	6 0 0
41.62	18	2 2 2
85.74	13	6 2 2
48.44	12	4 0 0
37.85	9	3 1 0

Crystal structure
```
data_NbHg3Se4
_symmetry_space_group_name_H-M 'I -4 3 m'
_symmetry_Int_Tables_number 217
_symmetry_space_group_name_Hall 'I -4 2 3'
_cell_length_a 7.5164
_cell_length_b 7.5164
_cell_length_c 7.5164
_cell_angle_alpha 90.00
_cell_angle_beta 90.00
_cell_angle_gamma 90.00
loop_
_atom_site_label
_atom_site_fract_x
_atom_site_fract_y
_atom_site_fract_z
Nb1 0.0000 0.0000 0.0000
Hg1 0.0000 0.0000 0.5000
Se1 0.1882 0.1882 0.8118
```

# 5
HgBiOs2: simulated PXRD pattern (a wavelength of 1.5418 Å), based on a cell relaxed with GGA-PBE.
Lines closer than 0.1° are merged.

Top 4 peaks for 2θ from 10° to 90°, most intense first:
Position (°2θ)	I (rel.)	index
37.87	100	2 2 0
68.40	36	4 2 2
54.64	18	4 0 0
80.94	12	4 4 0

Crystal structure
```
data_HgBiOs2
_symmetry_space_group_name_H-M 'F -4 3 m'
_symmetry_Int_Tables_number 216
_symmetry_space_group_name_Hall 'F -4 2 3'
_cell_length_a 6.7193
_cell_length_b 6.7193
_cell_length_c 6.7193
_cell_angle_alpha 90.00
_cell_angle_beta 90.00
_cell_angle_gamma 90.00
loop_
_atom_site_label
_atom_site_fract_x
_atom_site_fract_y
_atom_site_fract_z
Hg1 0.0000 0.0000 0.0000
Bi1 0.2500 0.2500 0.7500
Os1 0.0000 0.0000 0.5000
Os2 0.2500 0.2500 0.2500
```

# 6
NdMg: simulated PXRD pattern (a wavelength of 1.5418 Å), based on a cell relaxed with GGA-PBE.
Lines closer than 0.1° are merged.

Top 10 peaks for 2θ from 10° to 90°, most intense first:
Position (°2θ)	I (rel.)	index
32.61	100	1 1 0
22.90	59	1 0 0
58.19	38	2 1 1
52.70	25	2 1 0
40.22	18	1 1 1
46.78	18	2 0 0
77.77	16	3 1 0
73.10	12	3 0 0
68.31	12	2 2 0
82.35	7	3 1 1

Crystal structure
```
data_NdMg
_symmetry_space_group_name_H-M 'P m -3 m'
_symmetry_Int_Tables_number 221
_symmetry_space_group_name_Hall '-P 4 2 3'
_cell_length_a 3.8836
_cell_length_b 3.8836
_cell_length_c 3.8836
_cell_angle_alpha 90.00
_cell_angle_beta 90.00
_cell_angle_gamma 90.00
loop_
_atom_site_label
_atom_site_fract_x
_atom_site_fract_y
_atom_site_fract_z
Nd1 0.0000 0.0000 0.0000
Mg1 0.5000 0.5000 0.5000
```